This entry pairs a crystal structure of SrSmO3 with its simulated powder XRD pattern. Radiation: λ = 1.5418 Å (Cu Kα). Structure: the GGA-PBE geometry in OQMD.

Top 10 peaks for 2θ from 15° to 90°, low angle first:
20.2 deg, d 4.396, I 18, (0 1 2); 28.1 deg, d 3.170, I 100, (1 0 4); 29.3 deg, d 3.050, I 96, (1 1 0); 33.9 deg, d 2.642, I 18, (1 1 3); 41.1 deg, d 2.198, I 44, (0 2 4); 45.4 deg, d 1.997, I 29, (1 1 6); 51.2 deg, d 1.783, I 44, (2 1 4); 51.9 deg, d 1.761, I 30, (3 0 0); 60.7 deg, d 1.525, I 16, (2 2 0); 68.2 deg, d 1.374, I 16, (4 -3 4)

a = 6.1001 Å, b = 6.1001 Å, c = 15.8518 Å
α = 90.00°, β = 90.00°, γ = 120.00°
Space group R-3 (No. 148, hexagonal axes)
One atom of each set of equivalent atoms:
1 Sr 0.0000 0.0000 0.1356
2 Sm 0.0000 0.0000 0.3559
3 O 0.0233 0.2945 0.2543